Simulated XRD peak list
Compound: Tb4MgRu
Radiation: Cu Kα (λ = 1.5418 Å)
Structure: a DFT-relaxed cell (GGA-PBE, the Materials Project)
Neutral-atom scattering factors, no anomalous dispersion.

Most intense lines, 10 to 90 degrees two-theta, sorted by position:
(hkl)	2theta	I (rel.)
1 1 1	11.12	26
3 3 1	28.22	48
4 2 2	31.80	60
5 1 1	33.79	100
4 4 0	36.89	32
7 3 3	54.49	16
6 6 0	56.66	56
11 5 1	85.39	17

Atomic structure:
Lattice parameters (Å, degrees): 13.7841 13.7841 13.7841 90.00 90.00 90.00
Space group F-43m (No. 216)
Inequivalent atoms, fractional coordinates:
Tb (0.0000, 0.0000, 0.1868) x24
Tb (0.0630, 0.2500, 0.2500) x24
Tb (0.1565, 0.1565, 0.6565) x16
Mg (0.0790, 0.0790, 0.4210) x16
Ru (0.1390, 0.1390, 0.8610) x16